Ge: calculated powder diffraction line list (λ = 1.5418 Å (Cu Kα)), based on a DFT-relaxed cell (PBE, the Materials Project).

Principal peaks in the range 2θ = 10–90°, sorted by position:
3.655 Å, rel. 14, hkl 1 1 1; 3.061 Å, rel. 40, hkl 1 0 2; 2.774 Å, rel. 100, hkl 2 0 1; 2.729 Å, rel. 26, hkl 1 1 2; 2.520 Å, rel. 16, hkl 2 1 1; 1.933 Å, rel. 14, hkl 3 0 1; 1.862 Å, rel. 30, hkl 2 0 3; 1.841 Å, rel. 17, hkl 3 1 1; 1.827 Å, rel. 47, hkl 2 2 2; 1.777 Å, rel. 20, hkl 0 0 4

Crystal structure
```
data_Ge
_cell_length_a 6.0266
_cell_length_b 6.0266
_cell_length_c 7.1059
_cell_angle_alpha 90.00
_cell_angle_beta 90.00
_cell_angle_gamma 90.00
_symmetry_space_group_name_H-M 'P 43 21 2'
_symmetry_Int_Tables_number 96
loop_
_symmetry_equiv_pos_as_xyz
'x,y,z'
'-y+1/2,x+1/2,z+3/4'
'-x,-y,z+1/2'
'y+1/2,-x+1/2,z+1/4'
'x+1/2,-y+1/2,-z+1/4'
'-y,-x,-z+1/2'
'-x+1/2,y+1/2,-z+3/4'
'y,x,-z'
loop_
_atom_site_label
_atom_site_type_symbol
_atom_site_fract_x
_atom_site_fract_y
_atom_site_fract_z
Ge1 Ge 0.0876 0.0876 0.0000
Ge2 Ge 0.1296 0.6714 0.0032
```

***

Ba2B6PbO12: calculated powder diffraction line list (λ = 1.5418 Å (Cu Kα)), based on a DFT-relaxed cell (PBE, the Materials Project).

Principal peaks in the range 2θ = 10–90°, sorted by position:
5.989 Å, rel. 75, hkl 0 1 2; 3.812 Å, rel. 30, hkl 0 1 8; 3.641 Å, rel. 88, hkl 1 1 0; 3.272 Å, rel. 100, hkl 1 0 10; 3.111 Å, rel. 26, hkl 2 0 2; 2.434 Å, rel. 38, hkl 0 2 10; 2.399 Å, rel. 30, hkl 1 1 12; 2.365 Å, rel. 29, hkl 1 2 2; 2.133 Å, rel. 29, hkl 1 2 8; 2.023 Å, rel. 40, hkl 2 1 10

Crystal structure
```
data_Ba2B6PbO12
_cell_length_a 7.2815
_cell_length_b 7.2815
_cell_length_c 38.2761
_cell_angle_alpha 90.00
_cell_angle_beta 90.00
_cell_angle_gamma 120.00
_symmetry_space_group_name_H-M 'R -3 c'
_symmetry_Int_Tables_number 167
_symmetry_space_group_name_Hall '-R 3 2"c'
loop_
_atom_site_label
_atom_site_type_symbol
_atom_site_fract_x
_atom_site_fract_y
_atom_site_fract_z
Ba1 Ba 0.0000 0.0000 0.1489
B1 B 0.0391 0.2135 0.4594
Pb1 Pb 0.0000 0.0000 0.2500
O1 O 0.0068 0.2644 0.7957
O2 O 0.0374 0.2068 0.5417
```

***

CsGeCl3: calculated powder diffraction line list (λ = 1.5418 Å (Cu Kα)), based on a DFT-relaxed cell (PBE, the Materials Project).

Principal peaks in the range 2θ = 10–90°, sorted by position:
3.902 Å, rel. 100, hkl 0 1 2; 3.183 Å, rel. 26, hkl 0 2 1; 2.759 Å, rel. 64, hkl 2 0 2; 2.258 Å, rel. 11, hkl 1 0 4; 2.251 Å, rel. 32, hkl 3 0 0; 1.954 Å, rel. 20, hkl 0 2 4; 1.948 Å, rel. 21, hkl 2 2 0; 1.745 Å, rel. 25, hkl 2 1 4; 1.592 Å, rel. 10, hkl 0 4 2; 1.474 Å, rel. 14, hkl 2 3 2

Crystal structure
```
data_CsGeCl3
_cell_length_a 7.7934
_cell_length_b 7.7934
_cell_length_c 9.5839
_cell_angle_alpha 90.00
_cell_angle_beta 90.00
_cell_angle_gamma 120.00
_symmetry_space_group_name_H-M 'R 3 m'
_symmetry_Int_Tables_number 160
_symmetry_space_group_name_Hall 'R 3 -2"'
loop_
_atom_site_label
_atom_site_type_symbol
_atom_site_fract_x
_atom_site_fract_y
_atom_site_fract_z
Cs1 Cs 0.0000 0.0000 0.0000
Ge1 Ge 0.0000 0.0000 0.5133
Cl1 Cl 0.1824 0.3649 0.3144
```

***

TiAlO3: calculated powder diffraction line list (λ = 1.5418 Å (Cu Kα)), based on a DFT-relaxed cell (PBE, the Materials Project).

Principal peaks in the range 2θ = 10–90°, sorted by position:
6.030 Å, rel. 13, hkl 0 0 2; 3.015 Å, rel. 51, hkl 0 0 4; 2.685 Å, rel. 100, hkl 1 0 1; 2.505 Å, rel. 16, hkl 1 0 2; 2.010 Å, rel. 10, hkl 0 0 6; 1.815 Å, rel. 34, hkl 1 0 5; 1.624 Å, rel. 17, hkl 1 0 6; 1.590 Å, rel. 42, hkl 1 1 0; 1.407 Å, rel. 25, hkl 1 1 4; 1.368 Å, rel. 9, hkl 2 0 1

Crystal structure
```
data_TiAlO3
_cell_length_a 3.1803
_cell_length_b 3.1803
_cell_length_c 12.0599
_cell_angle_alpha 90.00
_cell_angle_beta 90.00
_cell_angle_gamma 120.00
_symmetry_space_group_name_H-M 'P 63/m m c'
_symmetry_Int_Tables_number 194
_symmetry_space_group_name_Hall '-P 6c 2c'
loop_
_atom_site_label
_atom_site_type_symbol
_atom_site_fract_x
_atom_site_fract_y
_atom_site_fract_z
Ti1 Ti 0.3333 0.6667 0.2500
Al1 Al 0.0000 0.0000 0.0000
O1 O 0.0000 0.0000 0.2500
O2 O 0.3333 0.6667 0.0756
```

***

Mg9Mn2N8: calculated powder diffraction line list (λ = 1.5418 Å (Cu Kα)), based on a DFT-relaxed cell (PBE, the Materials Project).

Principal peaks in the range 2θ = 10–90°, sorted by position:
7.529 Å, rel. 49, hkl 2 0 0; 3.705 Å, rel. 70, hkl 1 1 -1; 3.295 Å, rel. 28, hkl 3 1 0; 2.544 Å, rel. 53, hkl 5 1 -1; 2.520 Å, rel. 62, hkl 1 1 2; 2.253 Å, rel. 50, hkl 4 0 -3; 2.184 Å, rel. 100, hkl 0 2 0; 2.145 Å, rel. 61, hkl 6 0 1; 1.568 Å, rel. 27, hkl 4 2 -3; 1.531 Å, rel. 34, hkl 6 2 1

Crystal structure
```
data_Mg9Mn2N8
_cell_length_a 15.8217
_cell_length_b 4.3688
_cell_length_c 7.0631
_cell_angle_alpha 90.00
_cell_angle_beta 107.87
_cell_angle_gamma 90.00
_symmetry_space_group_name_H-M 'C 1 2/m 1'
_symmetry_Int_Tables_number 12
loop_
_symmetry_equiv_pos_as_xyz
'x,y,z'
'-x,-y,-z'
'-x,y,-z'
'x,-y,z'
'x+1/2,y+1/2,z'
'-x+1/2,-y+1/2,-z'
'-x+1/2,y+1/2,-z'
'x+1/2,-y+1/2,z'
loop_
_atom_site_label
_atom_site_type_symbol
_atom_site_fract_x
_atom_site_fract_y
_atom_site_fract_z
Mg1 Mg 0.0000 0.0000 0.0000
Mg2 Mg 0.0390 0.5000 0.7150
Mg3 Mg 0.0934 0.0000 0.4605
Mg4 Mg 0.1688 0.5000 0.2404
Mg5 Mg 0.1701 0.0000 0.9264
Mn1 Mn 0.2095 0.5000 0.7034
N1 N 0.0349 0.0000 0.7492
N2 N 0.1113 0.5000 0.4856
N3 N 0.1717 0.0000 0.2409
N4 N 0.1788 0.5000 0.9207
```

***

LiGaH8N4: calculated powder diffraction line list (λ = 1.5418 Å (Cu Kα)), based on a DFT-relaxed cell (PBE, the Materials Project).

Principal peaks in the range 2θ = 10–90°, sorted by position:
7.035 Å, rel. 100, hkl 0 2 0; 6.230 Å, rel. 46, hkl 0 1 1; 5.700 Å, rel. 29, hkl 1 1 -1; 4.666 Å, rel. 71, hkl 1 2 -1; 4.556 Å, rel. 30, hkl 1 0 -2; 4.483 Å, rel. 58, hkl 1 1 0; 4.334 Å, rel. 25, hkl 1 1 -2; 3.887 Å, rel. 61, hkl 0 3 1; 3.748 Å, rel. 40, hkl 1 3 -1; 3.116 Å, rel. 49, hkl 2 0 -2

Crystal structure
```
data_LiGaH8N4
_cell_length_a 6.2389
_cell_length_b 14.0706
_cell_length_c 9.1656
_cell_angle_alpha 90.00
_cell_angle_beta 130.71
_cell_angle_gamma 90.00
_symmetry_space_group_name_H-M 'P 1 21/c 1'
_symmetry_Int_Tables_number 14
loop_
_symmetry_equiv_pos_as_xyz
'x,y,z'
'-x,-y,-z'
'-x,y+1/2,-z+1/2'
'x,-y+1/2,z+1/2'
loop_
_atom_site_label
_atom_site_type_symbol
_atom_site_fract_x
_atom_site_fract_y
_atom_site_fract_z
Li1 Li 0.1652 0.1868 0.0213
Ga1 Ga 0.3214 0.6728 0.9648
H1 H 0.0079 0.6915 0.3046
H2 H 0.0718 0.5402 0.7229
H3 H 0.1408 0.0910 0.7581
H4 H 0.2569 0.1248 0.4855
H5 H 0.2924 0.6552 0.5126
H6 H 0.3396 0.6193 0.2263
H7 H 0.4771 0.0453 0.2883
H8 H 0.4809 0.1771 0.6909
N1 N 0.0100 0.6057 0.7319
N2 N 0.1463 0.7090 0.4476
N3 N 0.3787 0.1850 0.5478
N4 N 0.4909 0.6166 0.2136
```

***

ErInRh: calculated powder diffraction line list (λ = 1.5418 Å (Cu Kα)), based on a DFT-relaxed cell (PBE, the Materials Project).

Principal peaks in the range 2θ = 10–90°, sorted by position:
2.708 Å, rel. 100, hkl 1 1 1; 2.500 Å, rel. 81, hkl 2 0 1; 2.455 Å, rel. 44, hkl 2 1 0; 2.165 Å, rel. 35, hkl 3 0 0; 2.080 Å, rel. 19, hkl 2 1 1; 1.958 Å, rel. 23, hkl 0 0 2; 1.531 Å, rel. 20, hkl 2 1 2; 1.452 Å, rel. 19, hkl 3 0 2; 1.393 Å, rel. 28, hkl 3 2 1; 1.233 Å, rel. 18, hkl 5 0 1

Crystal structure
```
data_ErInRh
_cell_length_a 7.4996
_cell_length_b 7.4996
_cell_length_c 3.9155
_cell_angle_alpha 90.00
_cell_angle_beta 90.00
_cell_angle_gamma 120.00
_symmetry_space_group_name_H-M 'P -6 2 m'
_symmetry_Int_Tables_number 189
_symmetry_space_group_name_Hall 'P -6 -2'
loop_
_atom_site_label
_atom_site_type_symbol
_atom_site_fract_x
_atom_site_fract_y
_atom_site_fract_z
Er1 Er 0.0000 0.5943 0.0000
In1 In 0.0000 0.2581 0.5000
Rh1 Rh 0.0000 0.0000 0.0000
Rh2 Rh 0.3333 0.6667 0.5000
```

***

Mg14CoB: calculated powder diffraction line list (λ = 1.5418 Å (Cu Kα)), based on a DFT-relaxed cell (PBE, the Materials Project).

Principal peaks in the range 2θ = 10–90°, sorted by position:
4.792 Å, rel. 13, hkl 1 1 1; 4.721 Å, rel. 12, hkl 1 0 2; 2.779 Å, rel. 21, hkl 0 2 2; 2.724 Å, rel. 27, hkl 0 0 4; 2.396 Å, rel. 100, hkl 2 2 2; 2.365 Å, rel. 21, hkl 4 0 0; 2.358 Å, rel. 31, hkl 2 0 4; 1.616 Å, rel. 10, hkl 0 4 0; 1.582 Å, rel. 12, hkl 0 2 6; 1.334 Å, rel. 15, hkl 4 4 0

Crystal structure
```
data_Mg14CoB
_cell_length_a 9.4615
_cell_length_b 6.4644
_cell_length_c 10.8822
_cell_angle_alpha 90.00
_cell_angle_beta 90.00
_cell_angle_gamma 90.00
_symmetry_space_group_name_H-M 'A m m 2'
_symmetry_Int_Tables_number 38
loop_
_symmetry_equiv_pos_as_xyz
'x,y,z'
'-x,-y,z'
'-x,y,z'
'x,-y,z'
'x,y+1/2,z+1/2'
'-x,-y+1/2,z+1/2'
'-x,y+1/2,z+1/2'
'x,-y+1/2,z+1/2'
loop_
_atom_site_label
_atom_site_type_symbol
_atom_site_fract_x
_atom_site_fract_y
_atom_site_fract_z
Mg1 Mg 0.0000 0.0000 0.0000
Mg2 Mg 0.0000 0.0000 0.4983
Mg3 Mg 0.0000 0.2492 0.7606
Mg4 Mg 0.2485 0.0000 0.1773
Mg5 Mg 0.2508 0.0000 0.6712
Mg6 Mg 0.3123 0.2402 0.9374
Mg7 Mg 0.5000 0.2430 0.2089
Co1 Co 0.5000 0.0000 0.5261
B1 B 0.5000 0.0000 0.0391
```

***

LiCuPO4: calculated powder diffraction line list (λ = 1.5418 Å (Cu Kα)), based on a DFT-relaxed cell (PBE, the Materials Project).

Principal peaks in the range 2θ = 10–90°, sorted by position:
7.159 Å, rel. 100, hkl 0 1 1; 4.575 Å, rel. 55, hkl 0 2 1; 3.499 Å, rel. 14, hkl 1 1 2; 3.247 Å, rel. 15, hkl 0 3 1; 3.158 Å, rel. 16, hkl 0 1 3; 2.808 Å, rel. 50, hkl 1 1 -3; 2.790 Å, rel. 88, hkl 2 1 0; 2.666 Å, rel. 20, hkl 2 1 1; 2.576 Å, rel. 13, hkl 0 4 0; 2.489 Å, rel. 52, hkl 1 2 3

Crystal structure
```
data_LiCuPO4
_cell_length_a 5.7989
_cell_length_b 10.3048
_cell_length_c 9.9588
_cell_angle_alpha 90.00
_cell_angle_beta 91.77
_cell_angle_gamma 90.00
_symmetry_space_group_name_H-M 'P 1 21/c 1'
_symmetry_Int_Tables_number 14
loop_
_symmetry_equiv_pos_as_xyz
'x,y,z'
'-x,-y,-z'
'-x,y+1/2,-z+1/2'
'x,-y+1/2,z+1/2'
loop_
_atom_site_label
_atom_site_type_symbol
_atom_site_fract_x
_atom_site_fract_y
_atom_site_fract_z
Li1 Li 0.1124 0.1615 0.3611
Li2 Li 0.3688 0.6437 0.1121
Cu1 Cu 0.1554 0.6232 0.5146
Cu2 Cu 0.3776 0.0923 0.7712
P1 P 0.1261 0.6112 0.8346
P2 P 0.3741 0.1452 0.0904
O1 O 0.0850 0.0176 0.6700
O2 O 0.1111 0.6966 0.9650
O3 O 0.1307 0.7000 0.7065
O4 O 0.1625 0.0529 0.0794
O5 O 0.3296 0.2345 0.2103
O6 O 0.3501 0.5278 0.8490
O7 O 0.3977 0.5669 0.3756
O8 O 0.4071 0.2180 0.9566
```

***

RbAs4H3O12: calculated powder diffraction line list (λ = 1.5418 Å (Cu Kα)), based on a DFT-relaxed cell (PBE, the Materials Project).

Principal peaks in the range 2θ = 10–90°, sorted by position:
7.097 Å, rel. 66, hkl 0 0 1; 6.436 Å, rel. 48, hkl 0 1 -1; 3.954 Å, rel. 100, hkl 1 0 1; 3.610 Å, rel. 39, hkl 0 2 -1; 3.424 Å, rel. 33, hkl -1 1 1; 3.247 Å, rel. 37, hkl 1 1 -2; 2.538 Å, rel. 20, hkl 2 -1 0; 2.304 Å, rel. 19, hkl 1 2 -3; 2.144 Å, rel. 19, hkl 0 3 0; 1.540 Å, rel. 17, hkl 3 -2 2

Crystal structure
```
data_RbAs4H3O12
_cell_length_a 5.2694
_cell_length_b 7.2503
_cell_length_c 7.9895
_cell_angle_alpha 116.35
_cell_angle_beta 94.44
_cell_angle_gamma 95.25
_symmetry_space_group_name_H-M 'P 1'
_symmetry_Int_Tables_number 1
loop_
_symmetry_equiv_pos_as_xyz
'x,y,z'
loop_
_atom_site_label
_atom_site_type_symbol
_atom_site_fract_x
_atom_site_fract_y
_atom_site_fract_z
Rb1 Rb 0.0000 0.0000 0.0000
As1 As 0.1444 0.3608 0.6907
As2 As 0.3968 0.6815 0.5674
As3 As 0.5938 0.3073 0.4387
As4 As 0.8421 0.6289 0.3225
H1 H 0.4876 0.0382 0.7014
H2 H 0.5054 0.9506 0.2988
H3 H 0.9738 0.5163 0.0217
O1 O 0.0883 0.3515 0.8913
O2 O 0.1094 0.7730 0.4885
O3 O 0.2171 0.6211 0.7372
O4 O 0.3108 0.4122 0.3794
O5 O 0.4107 0.2350 0.6089
O6 O 0.4927 0.9391 0.7557
O7 O 0.4972 0.0517 0.2472
O8 O 0.5816 0.7602 0.3975
O9 O 0.6870 0.5807 0.6210
O10 O 0.7770 0.3676 0.2652
O11 O 0.8839 0.6426 0.1166
O12 O 0.8856 0.2190 0.5117
```